1.
Computed X-ray diffraction stick pattern
Compound: Tm8In3Ga2
Radiation: a wavelength of 1.5418 Å
Structure: a structure optimized by DFT (PBE)

```
data_Tm8In3Ga2
_chemical_formula_sum 'Tm16 In6 Ga4'
_symmetry_space_group_name_H-M 'C m m m'
_symmetry_Int_Tables_number 65
_symmetry_space_group_name_Hall '-C 2 2'
_cell_length_a 8.795
_cell_length_b 15.349
_cell_length_c 5.271
_cell_angle_alpha 90.00
_cell_angle_beta 90.00
_cell_angle_gamma 90.00
loop_
_atom_site_label
_atom_site_type_symbol
_atom_site_fract_x
_atom_site_fract_y
_atom_site_fract_z
Tm1 Tm 0.000 0.111 0.000
Tm2 Tm 0.000 0.317 0.000
Tm3 Tm 0.217 0.373 0.500
In1 In 0.000 0.000 0.500
In2 In 0.180 0.500 0.000
Ga1 Ga 0.000 0.227 0.500
```

Principal peaks in the range 15 to 90 degrees two-theta, in order of rising 2θ:
(2 0 1), 2θ 26.39, I 45
(3 1 0), 2θ 31.06, I 22
(0 0 2), 2θ 34.01, I 52
(1 5 1), 2θ 35.34, I 57
(2 4 1), 2θ 35.41, I 100
(2 4 3), 2θ 61.77, I 31

=====

2.
Computed X-ray diffraction stick pattern
Compound: Y2In5Ga
Radiation: a wavelength of 1.5418 Å
Structure: a structure optimized by DFT (PBE)

```
data_Y2In5Ga
_chemical_formula_sum 'Y4 In10 Ga2'
_symmetry_space_group_name_H-M 'P b a m'
_symmetry_Int_Tables_number 55
_symmetry_space_group_name_Hall '-P 2 2ab'
_cell_length_a 6.522
_cell_length_b 13.057
_cell_length_c 4.561
_cell_angle_alpha 90.00
_cell_angle_beta 90.00
_cell_angle_gamma 90.00
loop_
_atom_site_label
_atom_site_type_symbol
_atom_site_fract_x
_atom_site_fract_y
_atom_site_fract_z
Y1 Y 0.236 0.120 0.000
In1 In 0.000 0.500 0.500
In2 In 0.012 0.752 0.500
In3 In 0.242 0.374 0.000
Ga1 Ga 0.000 0.000 0.500
```

Principal peaks in the range 15 to 90 degrees two-theta, in order of rising 2θ:
(0 4 1), 2θ 33.78, I 100
(2 4 0), 2θ 39.04, I 33
(0 0 2), 2θ 39.51, I 16
(2 4 2), 2θ 56.76, I 21
(2 8 1), 2θ 67.38, I 24
(0 4 3), 2θ 68.03, I 12

=====

3.
Computed X-ray diffraction stick pattern
Compound: ZnIn4Ga
Radiation: a wavelength of 1.5418 Å
Structure: a structure optimized by DFT (PBE)

```
data_ZnIn4Ga
_chemical_formula_sum 'Zn2 In8 Ga2'
_symmetry_space_group_name_H-M 'I 4 2 2'
_symmetry_Int_Tables_number 97
_symmetry_space_group_name_Hall 'I 4 2'
_cell_length_a 7.362
_cell_length_b 7.362
_cell_length_c 5.311
_cell_angle_alpha 90.00
_cell_angle_beta 90.00
_cell_angle_gamma 90.00
loop_
_atom_site_label
_atom_site_type_symbol
_atom_site_fract_x
_atom_site_fract_y
_atom_site_fract_z
Zn1 Zn 0.000 0.000 0.000
In1 In 0.155 0.345 0.750
Ga1 Ga 0.000 0.000 0.500
```

Principal peaks in the range 15 to 90 degrees two-theta, in order of rising 2θ:
(2 1 1), 2θ 31.98, I 100
(1 1 2), 2θ 38.04, I 21
(3 1 0), 2θ 38.68, I 37
(2 0 2), 2θ 41.95, I 18
(2 1 3), 2θ 59.27, I 16
(3 3 2), 2θ 64.11, I 17

=====

4.
Computed X-ray diffraction stick pattern
Compound: Zn2In3Ga4
Radiation: a wavelength of 1.5418 Å
Structure: a structure optimized by DFT (PBE)

```
data_Zn2In3Ga4
_chemical_formula_sum 'Zn2 In3 Ga4'
_symmetry_space_group_name_H-M 'P -1'
_symmetry_Int_Tables_number 2
_symmetry_space_group_name_Hall '-P 1'
_cell_length_a 4.217
_cell_length_b 6.153
_cell_length_c 8.334
_cell_angle_alpha 107.05
_cell_angle_beta 91.98
_cell_angle_gamma 108.96
loop_
_atom_site_label
_atom_site_type_symbol
_atom_site_fract_x
_atom_site_fract_y
_atom_site_fract_z
Zn1 Zn 0.207 0.434 0.238
In1 In 0.129 0.254 0.877
In2 In 0.500 0.000 0.500
Ga1 Ga 0.192 0.376 0.549
Ga2 Ga 0.444 0.869 0.828
```

Principal peaks in the range 15 to 90 degrees two-theta, in order of rising 2θ:
(1 1 0), 2θ 32.20, I 100
(1 -2 0), 2θ 32.47, I 88
(0 1 -3), 2θ 32.68, I 58
(0 0 3), 2θ 34.11, I 77
(1 -2 2), 2θ 35.33, I 51
(2 -1 0), 2θ 42.92, I 85

=====

5.
Computed X-ray diffraction stick pattern
Compound: ZnIn3Ga8
Radiation: a wavelength of 1.5418 Å
Structure: a structure optimized by DFT (PBE)

```
data_ZnIn3Ga8
_chemical_formula_sum 'Zn2 In6 Ga16'
_symmetry_space_group_name_H-M 'I -4 2 m'
_symmetry_Int_Tables_number 121
_symmetry_space_group_name_Hall 'I -4 2'
_cell_length_a 7.528
_cell_length_b 7.528
_cell_length_c 9.786
_cell_angle_alpha 90.00
_cell_angle_beta 90.00
_cell_angle_gamma 90.00
loop_
_atom_site_label
_atom_site_type_symbol
_atom_site_fract_x
_atom_site_fract_y
_atom_site_fract_z
Zn1 Zn 0.000 0.000 0.000
In1 In 0.000 0.000 0.500
In2 In 0.000 0.500 0.250
Ga1 Ga 0.134 0.134 0.777
Ga2 Ga 0.239 0.239 0.042
```

Principal peaks in the range 15 to 90 degrees two-theta, in order of rising 2θ:
(1 1 2), 2θ 24.71, I 58
(2 1 1), 2θ 28.03, I 40
(2 0 2), 2θ 29.93, I 31
(2 2 0), 2θ 33.67, I 67
(0 0 4), 2θ 36.74, I 33
(3 1 2), 2θ 42.22, I 100

=====

6.
Computed X-ray diffraction stick pattern
Compound: ZnIn2Ga6
Radiation: a wavelength of 1.5418 Å
Structure: a structure optimized by DFT (PBE)

```
data_ZnIn2Ga6
_chemical_formula_sum 'Zn1 In2 Ga6'
_symmetry_space_group_name_H-M 'P -1'
_symmetry_Int_Tables_number 2
_symmetry_space_group_name_Hall '-P 1'
_cell_length_a 2.992
_cell_length_b 7.744
_cell_length_c 8.767
_cell_angle_alpha 113.34
_cell_angle_beta 90.86
_cell_angle_gamma 96.94
loop_
_atom_site_label
_atom_site_type_symbol
_atom_site_fract_x
_atom_site_fract_y
_atom_site_fract_z
Zn1 Zn 0.000 0.000 0.000
In1 In 0.372 0.615 0.361
Ga1 Ga 0.002 0.047 0.670
Ga2 Ga 0.360 0.678 0.024
Ga3 Ga 0.389 0.766 0.732
```

Principal peaks in the range 15 to 90 degrees two-theta, in order of rising 2θ:
(0 0 3), 2θ 33.48, I 87
(1 1 0), 2θ 34.42, I 100
(0 3 -2), 2θ 35.74, I 52
(1 -2 0), 2θ 36.85, I 62
(1 1 -3), 2θ 43.09, I 56
(1 -2 3), 2θ 44.35, I 52